This entry pairs a crystal structure of Cu5Ag4 with its theoretical powder diffraction line list. Radiation: Cu Kα, 1.54184 Å. Structure: a crystal structure in OQMD, relaxed with PBE.
Peak positions follow from Bragg's law for the DFT cell and can differ from measured ones.

Structural model:
a = 14.1710 Å, b = 2.7769 Å, c = 8.0745 Å
α = 90.00°, β = 124.57°, γ = 90.00°
Space group C2/m (No. 12)
Unique sites:
Cu 0.0000 0.0000 0.0000 (multiplicity 2)
Cu 0.1160 0.0000 0.5510 (multiplicity 4)
Cu 0.1702 0.5000 0.3511 (multiplicity 4)
Ag 0.0484 0.5000 0.7646 (multiplicity 4)
Ag 0.2211 0.0000 0.1260 (multiplicity 4)

Principal peaks in the range 10° ≤ 2θ ≤ 80°, in order of rising 2θ:
d/Å	Rel. int.	h k l
2.245	100.0	1 1 -2
2.210	31.0	6 0 -3
1.951	43.3	5 1 -1
1.909	18.7	2 0 -4
1.372	11.8	3 1 3
1.357	10.8	7 1 -5



This entry pairs a crystal structure of Pu2BrCl5 with its theoretical powder diffraction line list. Radiation: Cu Kα, 1.54184 Å. Structure: a crystal structure in OQMD, relaxed with PBE.
Peak positions follow from Bragg's law for the DFT cell and can differ from measured ones.

Structural model:
a = 7.4300 Å, b = 4.2426 Å, c = 7.5481 Å
α = 90.00°, β = 118.74°, γ = 90.00°
Space group Pm (No. 6)
Unique sites:
Pu 0.0000 0.0000 0.0000 (multiplicity 1)
Pu 0.3374 0.5000 0.6716 (multiplicity 1)
Br 0.9505 0.5000 0.2563 (multiplicity 1)
Cl 0.0651 0.0000 0.6522 (multiplicity 1)
Cl 0.2743 0.5000 0.0331 (multiplicity 1)
Cl 0.3601 0.0000 0.4232 (multiplicity 1)
Cl 0.5751 0.0000 0.9361 (multiplicity 1)
Cl 0.7564 0.5000 0.7299 (multiplicity 1)

Principal peaks in the range 10° ≤ 2θ ≤ 80°, in order of rising 2θ:
d/Å	Rel. int.	h k l
6.514	58.5	1 0 0
6.443	66.9	1 0 -1
3.548	100.0	1 1 -1
2.609	55.2	0 1 2
2.566	53.2	2 1 -2
2.145	72.9	3 0 -3



This entry pairs a crystal structure of KRbHg4 with its theoretical powder diffraction line list. Radiation: Cu Kα, 1.54184 Å. Structure: a crystal structure in OQMD, relaxed with PBE.
Peak positions follow from Bragg's law for the DFT cell and can differ from measured ones.

Structural model:
a = 5.4198 Å, b = 8.4025 Å, c = 9.4507 Å
α = 90.00°, β = 90.00°, γ = 90.00°
Space group Imm2 (No. 44)
Unique sites:
K 0.0000 0.0000 0.0000 (multiplicity 2)
Rb 0.0000 0.5000 0.1037 (multiplicity 2)
Hg 0.0000 0.1920 0.3862 (multiplicity 4)
Hg 0.0000 0.3106 0.7127 (multiplicity 4)

Principal peaks in the range 10° ≤ 2θ ≤ 80°, in order of rising 2θ:
d/Å	Rel. int.	h k l
4.709	60.5	1 0 1
3.279	49.3	1 1 2
3.135	96.6	1 2 1
2.724	100.0	1 0 3
2.710	56.2	2 0 0
2.685	55.2	0 3 1



This entry pairs a crystal structure of NaNdHg3Te4 with its theoretical powder diffraction line list. Radiation: Cu Kα, 1.54184 Å. Structure: a crystal structure in OQMD, relaxed with PBE.
Peak positions follow from Bragg's law for the DFT cell and can differ from measured ones.

Structural model:
a = 7.1671 Å, b = 7.1671 Å, c = 7.1671 Å
α = 90.00°, β = 90.00°, γ = 90.00°
Space group P-43m (No. 215)
Unique sites:
Na 0.0000 0.0000 0.0000 (multiplicity 1)
Nd 0.5000 0.5000 0.5000 (multiplicity 1)
Hg 0.0000 0.5000 0.5000 (multiplicity 3)
Te 0.2568 0.2568 0.2568 (multiplicity 4)

Principal peaks in the range 10° ≤ 2θ ≤ 80°, in order of rising 2θ:
d/Å	Rel. int.	h k l
7.167	43.9	1 0 0
4.138	70.2	1 1 1
3.205	20.9	2 1 0
2.534	100.0	2 2 0
2.161	37.6	3 1 1
1.463	36.2	4 2 2